(1)
Starting from a GGA-PBE-relaxed structure, the powder X-ray diffraction pattern of Ag2Te was computed for Cu Kα.
Lines closer than 0.1° are merged.

Peak list (6 most intense, 2θ from 10° to 90°, in order of rising 2θ)
2θ (°)	I/Imax
22.6	40
22.8	45
37.2	93
37.4	100
37.6	27
44.2	25

Cell: 4.782 9.631 8.319 Å, 90.00 124.63 90.00°
Space group Pc (No. 7)
Asymmetric unit:
Ag 0.000 0.124 0.000 x2
Ag 0.001 0.373 0.506 x2
Ag 0.422 0.375 0.083 x2
Ag 0.501 0.125 0.501 x2
Te 0.752 0.370 0.744 x2
Te 0.762 0.120 0.250 x2

(2)
Starting from a GGA-PBE-relaxed structure, the powder X-ray diffraction pattern of Ag2Te was computed for Cu Kα.
Lines closer than 0.1° are merged.

Peak list (6 most intense, 2θ from 10° to 90°, in order of rising 2θ)
2θ (°)	I/Imax
22.8	49
36.5	57
38.3	100
43.5	18
52.6	19
66.9	37

Cell: 4.924 4.924 6.374 Å, 90.00 90.00 90.00°
Space group I4/mmm (No. 139)
Asymmetric unit:
Ag 0.000 0.500 0.250 x4
Te 0.000 0.000 0.000 x2

(3)
Starting from a GGA-PBE-relaxed structure, the powder X-ray diffraction pattern of Ag2Te was computed for Cu Kα.
Lines closer than 0.1° are merged.

Peak list (6 most intense, 2θ from 10° to 90°, in order of rising 2θ)
2θ (°)	I/Imax
22.8	82
37.0	89
37.2	94
37.8	79
38.0	91
38.2	100

Cell: 4.718 4.766 27.192 Å, 92.54 91.96 118.42°
Space group P1 (No. 1)
Asymmetric unit:
Ag 0.000 0.000 0.000 x1
Ag 0.012 0.700 0.675 x1
Ag 0.180 0.985 0.100 x1
Ag 0.294 0.261 0.514 x1
Ag 0.356 0.386 0.749 x1
Ag 0.372 0.426 0.293 x1
Ag 0.396 0.526 0.944 x1
Ag 0.590 0.858 0.378 x1
Ag 0.655 0.987 0.593 x1
Ag 0.686 0.048 0.709 x1
Ag 0.714 0.089 0.821 x1
Ag 0.819 0.337 0.236 x1
Ag 0.848 0.353 0.131 x1
Ag 0.972 0.619 0.546 x1
Te 0.030 0.733 0.786 x1
Te 0.150 0.999 0.204 x1
Te 0.334 0.345 0.635 x1
Te 0.481 0.609 0.063 x1
Te 0.617 0.904 0.485 x1
Te 0.717 0.171 0.921 x1
Te 0.906 0.480 0.351 x1

(4)
Starting from a GGA-PBE-relaxed structure, the powder X-ray diffraction pattern of TlAgTe2 was computed for Cu Kα.
Lines closer than 0.1° are merged.

Peak list (6 most intense, 2θ from 10° to 90°, in order of rising 2θ)
2θ (°)	I/Imax
28.7	100
34.5	39
36.8	23
37.9	19
46.0	25
59.7	25

Cell: 3.569 3.569 19.010 Å, 90.00 90.00 90.00°
Space group I-4m2 (No. 119)
Asymmetric unit:
Tl 0.000 0.000 0.000 x2
Ag 0.000 0.500 0.250 x2
Te 0.000 0.000 0.365 x4

(5)
Starting from a GGA-PBE-relaxed structure, the powder X-ray diffraction pattern of YAgTe2 was computed for Cu Kα.
Lines closer than 0.1° are merged.

Peak list (6 most intense, 2θ from 10° to 90°, in order of rising 2θ)
2θ (°)	I/Imax
22.7	27
25.8	100
33.5	73
39.8	72
43.7	53
75.0	21

Cell: 4.5265 4.5265 7.3146 Å, 90.00 90.00 120.00°
Space group P3m1 (No. 156)
Asymmetric unit:
Y 0.0000 0.0000 0.0000 x1
Ag 0.3333 0.6667 0.3957 x1
Te 0.3333 0.6667 0.7784 x1
Te 0.6667 0.3333 0.2460 x1

(6)
Starting from a GGA-PBE-relaxed structure, the powder X-ray diffraction pattern of YAgTe2 was computed for Cu Kα.
Lines closer than 0.1° are merged.

Peak list (6 most intense, 2θ from 10° to 90°, in order of rising 2θ)
2θ (°)	I/Imax
25.8	100
28.0	27
31.4	40
33.9	39
35.6	52
42.6	35

Cell: 7.127 7.127 4.746 Å, 90.00 90.00 90.00°
Space group P-42_1m (No. 113)
Asymmetric unit:
Y 0.000 0.500 0.195 x2
Ag 0.000 0.000 0.000 x2
Te 0.201 0.299 0.712 x4

(7)
Starting from a GGA-PBE-relaxed structure, the powder X-ray diffraction pattern of Y6AgTe2 was computed for Cu Kα.
Lines closer than 0.1° are merged.

Peak list (6 most intense, 2θ from 10° to 90°, in order of rising 2θ)
2θ (°)	I/Imax
29.3	40
30.7	100
31.8	83
33.6	59
34.1	43
44.3	42

Cell: 22.150 4.091 11.622 Å, 90.00 90.00 90.00°
Space group Pnma (No. 62)
Asymmetric unit:
Y 0.015 0.250 0.112 x4
Y 0.031 0.750 0.381 x4
Y 0.109 0.250 0.836 x4
Y 0.148 0.750 0.078 x4
Y 0.158 0.250 0.540 x4
Y 0.233 0.750 0.757 x4
Ag 0.074 0.750 0.647 x4
Te 0.127 0.250 0.279 x4
Te 0.239 0.250 0.971 x4

(8)
Starting from a GGA-PBE-relaxed structure, the powder X-ray diffraction pattern of Th2Ag was computed for Cu Kα.
Lines closer than 0.1° are merged.

Peak list (6 most intense, 2θ from 10° to 90°, in order of rising 2θ)
2θ (°)	I/Imax
30.4	100
34.7	18
37.5	28
38.7	15
53.9	23
60.5	16

Cell: 7.593 7.593 5.893 Å, 90.00 90.00 90.00°
Space group I4/mcm (No. 140)
Asymmetric unit:
Th 0.154 0.346 0.000 x8
Ag 0.000 0.000 0.250 x4

(9)
Starting from a GGA-PBE-relaxed structure, the powder X-ray diffraction pattern of ThAg2 was computed for Cu Kα.
Lines closer than 0.1° are merged.

Peak list (6 most intense, 2θ from 10° to 90°, in order of rising 2θ)
2θ (°)	I/Imax
20.9	17
34.0	100
36.6	73
50.9	32
64.3	32
67.6	24

Cell: 4.9067 4.9067 3.3589 Å, 90.00 90.00 120.00°
Space group P6/mmm (No. 191)
Asymmetric unit:
Th 0.0000 0.0000 0.0000 x1
Ag 0.3333 0.6667 0.5000 x2

(10)
Starting from a GGA-PBE-relaxed structure, the powder X-ray diffraction pattern of Ti2Ag was computed for Cu Kα.
Lines closer than 0.1° are merged.

Peak list (6 most intense, 2θ from 10° to 90°, in order of rising 2θ)
2θ (°)	I/Imax
14.6	20
31.4	18
37.9	100
43.7	33
64.3	19
76.3	22

Cell: 2.931 2.931 12.166 Å, 90.00 90.00 90.00°
Space group I4/mmm (No. 139)
Asymmetric unit:
Ti 0.000 0.000 0.173 x4
Ag 0.000 0.000 0.500 x2

(11)
Starting from a GGA-PBE-relaxed structure, the powder X-ray diffraction pattern of Ti3Ag was computed for Cu Kα.
Lines closer than 0.1° are merged.

Peak list (6 most intense, 2θ from 10° to 90°, in order of rising 2θ)
2θ (°)	I/Imax
21.7	20
30.9	17
38.0	100
44.2	48
64.3	28
77.2	32

Cell: 4.099 4.099 4.099 Å, 90.00 90.00 90.00°
Space group Pm-3m (No. 221)
Asymmetric unit:
Ti 0.000 0.000 0.500 x3
Ag 0.500 0.500 0.500 x1

(12)
Starting from a GGA-PBE-relaxed structure, the powder X-ray diffraction pattern of YTlAg2 was computed for Cu Kα.
Lines closer than 0.1° are merged.

Peak list (6 most intense, 2θ from 10° to 90°, in order of rising 2θ)
2θ (°)	I/Imax
21.7	10
35.8	100
51.6	17
64.4	35
75.9	11
86.9	16

Cell: 7.088 7.088 7.088 Å, 90.00 90.00 90.00°
Space group Fm-3m (No. 225)
Asymmetric unit:
Y 0.000 0.000 0.000 x4
Tl 0.000 0.000 0.500 x4
Ag 0.250 0.250 0.250 x8

(13)
Starting from a GGA-PBE-relaxed structure, the powder X-ray diffraction pattern of YTmAg2 was computed for Cu Kα.
Lines closer than 0.1° are merged.

Peak list (6 most intense, 2θ from 10° to 90°, in order of rising 2θ)
2θ (°)	I/Imax
21.2	6
35.0	100
50.3	17
62.7	35
73.8	11
84.4	15

Cell: 7.260 7.260 7.260 Å, 90.00 90.00 90.00°
Space group Fm-3m (No. 225)
Asymmetric unit:
Y 0.000 0.000 0.000 x4
Tm 0.000 0.000 0.500 x4
Ag 0.250 0.250 0.250 x8

(14)
Starting from a GGA-PBE-relaxed structure, the powder X-ray diffraction pattern of Tm2ZnAg was computed for Cu Kα.
Lines closer than 0.1° are merged.

Peak list (6 most intense, 2θ from 10° to 90°, in order of rising 2θ)
2θ (°)	I/Imax
25.0	10
35.6	100
51.2	18
64.0	36
75.4	11
86.3	16

Cell: 7.131 7.131 7.131 Å, 90.00 90.00 90.00°
Space group Fm-3m (No. 225)
Asymmetric unit:
Tm 0.250 0.250 0.250 x8
Zn 0.000 0.000 0.000 x4
Ag 0.000 0.000 0.500 x4

(15)
Starting from a GGA-PBE-relaxed structure, the powder X-ray diffraction pattern of UAg3 was computed for Cu Kα.
Lines closer than 0.1° are merged.

Peak list (6 most intense, 2θ from 10° to 90°, in order of rising 2θ)
2θ (°)	I/Imax
22.0	13
35.6	100
37.5	43
54.1	15
62.7	19
66.5	32

Cell: 4.791 4.791 7.543 Å, 90.00 90.00 90.00°
Space group I4/mmm (No. 139)
Asymmetric unit:
U 0.000 0.000 0.000 x2
Ag 0.000 0.000 0.500 x2
Ag 0.000 0.500 0.250 x4